(1)
The following is a theoretical PXRD pattern of Ca4ZnGa. It was derived from a structure optimized by DFT (GGA-PBE), using Cu Kα X-rays.
Neutral-atom scattering factors, no anomalous dispersion.

Crystal structure
```
6
Lattice="3.698 0.000 0.000 0.000 3.698 0.000 0.000 0.000 13.311" Properties=species:S:1:pos:R:3 pbc="T T T"
Ca 0.000 0.000 1.793
Ca 0.000 0.000 11.518
Ca 1.849 1.849 4.854
Ca 1.849 1.849 8.457
Zn 0.000 0.000 6.655
Ga 1.849 1.849 0.000
```

The 10 most intense peaks (2θ = 15–90°), by intensity:
2θ/deg  Rel. int.
31.49  100
34.29  48
59.66  29
41.81  27
66.59  23
49.28  16
36.93  12
54.22  11
77.11  7
40.67  6



(2)
The following is a theoretical PXRD pattern of Ca8ZnGa2. It was derived from a structure optimized by DFT (GGA-PBE), using Cu Kα X-rays.
Neutral-atom scattering factors, no anomalous dispersion.

Crystal structure
```
11
Lattice="-2.596 4.431 7.414 2.596 -4.431 7.414 2.596 4.431 -7.414" Properties=species:S:1:pos:R:3 pbc="T T T"
Ca 2.596 2.559 -2.385
Ca 0.000 0.000 2.006
Ca 0.000 2.865 0.000
Ca 2.596 2.559 2.385
Ca 0.000 1.872 5.030
Ca 0.000 5.998 0.000
Ca 0.000 0.000 12.822
Ca 0.000 1.872 9.799
Zn 2.596 0.000 0.000
Ga 2.596 0.000 4.525
Ga 0.000 4.431 2.889
```

The 10 most intense peaks (2θ = 15–90°), by intensity:
2θ/deg  Rel. int.
32.14  100
31.32  29
34.55  29
60.40  15
36.35  15
30.86  12
19.82  12
20.57  11
51.02  10
65.00  9